Computed powder diffraction line list
Compound: Ac2PrY6
Radiation: Cu Ka
Structure: a structure optimized by DFT (PBE)
Peak positions follow from Bragg's law for the DFT cell and can differ from measured ones.

Main lines, sorted by position (5° ≤ 2θ ≤ 70°):
Position (°2θ)	I_rel
17.62	29
26.51	31
30.28	46
30.77	100
32.01	31
36.77	34
43.71	15
52.17	19
54.40	15
54.71	18

Atomic structure:
```
9
Lattice="10.067 0.000 0.000 -5.033 8.718 0.000 0.000 0.000 3.644" Properties=species:S:1:pos:R:3 pbc="T T T"
Ac 0.000 5.812 0.981
Ac 5.033 2.906 2.663
Pr 0.000 0.000 1.822
Y -1.527 2.987 2.821
Y -1.683 8.547 2.821
Y 1.824 2.816 0.823
Y 3.210 5.902 2.821
Y 6.716 0.171 0.823
Y 6.560 5.731 0.823
```

=====

Computed powder diffraction line list
Compound: Y4PdPt
Radiation: Cu Ka
Structure: a structure optimized by DFT (PBE)
Peak positions follow from Bragg's law for the DFT cell and can differ from measured ones.

Main lines, sorted by position (5° ≤ 2θ ≤ 70°):
Position (°2θ)	I_rel
22.07	39
22.44	37
36.28	25
36.74	100
37.22	24
43.08	13
43.69	15
52.94	25
65.57	16
66.80	16

Atomic structure:
```
12
Lattice="4.952 -4.831 0.000 4.952 4.831 0.000 -4.945 0.000 6.922" Properties=species:S:1:pos:R:3 pbc="T T T"
Y 3.845 3.528 0.003
Y 3.587 3.528 3.458
Y 1.111 1.114 3.464
Y 3.583 -1.114 0.003
Y 1.376 1.114 6.919
Y 3.848 -1.114 3.458
Y 1.373 -3.528 3.464
Y 1.114 -3.528 6.919
Pd 3.716 1.208 1.730
Pd 1.243 -1.208 5.191
Pt 1.243 3.624 5.191
Pt 3.716 -3.624 1.730
```